Computed XRD peak list of Sr4YHg for λ = 1.5418 Å (Cu Kα), from the GGA-PBE geometry in Alexandria.
Kinematic intensities with the Lorentz-polarization factor, no thermal factor.

Structure:
Cell lengths 7.3053, 7.3053, 7.3053 Å; angles 60.00, 60.00, 60.00 degrees
Atoms (fractional coordinates):
Sr 0.1243 0.1243 0.1243
Sr 0.1243 0.1243 0.6272
Sr 0.1243 0.6272 0.1243
Sr 0.6272 0.1243 0.1243
Y 0.7500 0.7500 0.7500
Hg 0.5000 0.5000 0.5000

Top 8 peaks for 2θ = 10–80°, sorted by position:
2θ (°)  I/Imax
24.37  42
28.66  100
29.96  27
42.88  19
45.63  38
49.94  29
58.59  13
69.94  24